Structure and calculated powder diffraction line list of Ta2Zn4O9 (the GGA-PBE geometry in the Materials Project; a wavelength of 1.5418 Å).
Intensities are scaled so that the largest is 100.

Principal peaks in the range 10 to 90 degrees two-theta, in order of rising 2θ:
h k l	d_spacing	two_theta	intensity
1 1 -3	3.746	23.75	34
1 1 3	2.723	32.89	100
3 1 -3	2.704	33.13	98
2 0 -6	2.668	33.59	47
0 2 0	2.630	34.09	45
4 0 0	1.968	46.13	25
2 2 -6	1.873	48.60	40
4 2 0	1.576	58.58	36

Crystal structure
Unit cell a=9.466 b=5.261 c=16.011 alpha=90.00 beta=123.75 gamma=90.00
Space group P2_1/c (No. 14)
Symmetry-distinct sites (fractional):
Ta: 0.001 0.006 0.340 x4
Ta: 0.495 0.010 0.161 x4
Zn: 0.000 0.000 0.000 x2
Zn: 0.245 0.000 0.906 x4
Zn: 0.245 0.011 0.237 x4
Zn: 0.262 0.001 0.574 x4
Zn: 0.500 0.000 0.500 x2
O: 0.054 0.681 0.407 x4
O: 0.060 0.670 0.747 x4
O: 0.088 0.662 0.090 x4
O: 0.233 0.129 0.438 x4
O: 0.252 0.113 0.777 x4
O: 0.263 0.125 0.114 x4
O: 0.423 0.665 0.537 x4
O: 0.428 0.680 0.867 x4
O: 0.446 0.672 0.207 x4